1.
AlAg14Ge: theoretical PXRD pattern (Cu Kα X-rays), based on a GGA-PBE-relaxed structure.
Kinematic intensities with the Lorentz-polarization factor, no thermal factor.

The 8 most intense peaks (2θ from 5° to 70°), low angle first:
- 35.23°, intensity 12, (0 2 2)
- 36.30°, intensity 18, (1 0 4)
- 36.53°, intensity 37, (1 2 2)
- 38.13°, intensity 49, (4 0 0)
- 40.01°, intensity 52, (2 0 4)
- 40.22°, intensity 100, (2 2 2)
- 45.83°, intensity 19, (3 2 2)
- 62.91°, intensity 21, (0 2 6)

Crystal structure
a b c (Å): 9.4402 5.8712 10.2571
angles (deg): 90.00 90.00 90.00
Space group Amm2 (No. 38)
Unique sites:
Al: 0.0000 0.0000 0.0000
Ag: 0.0000 0.2504 0.2478
Ag: 0.2455 0.2480 0.9154
Ag: 0.2478 0.0000 0.1630
Ag: 0.2518 0.0000 0.6649
Ag: 0.5000 0.0000 0.3311
Ag: 0.5000 0.0000 0.8313
Ag: 0.5000 0.2495 0.0799
Ge: 0.0000 0.0000 0.5012

---

2.
ErPu2I6: theoretical PXRD pattern (Cu Kα X-rays), based on a GGA-PBE-relaxed structure.
Kinematic intensities with the Lorentz-polarization factor, no thermal factor.

The 8 most intense peaks (2θ from 5° to 70°), low angle first:
- 11.13°, intensity 95, (2 0 -1)
- 26.53°, intensity 48, (0 0 3)
- 26.85°, intensity 100, (3 1 0)
- 32.96°, intensity 22, (2 0 -4)
- 33.22°, intensity 50, (6 0 0)
- 33.34°, intensity 36, (5 1 -1)
- 42.00°, intensity 30, (5 1 -4)
- 42.53°, intensity 32, (3 1 3)

Crystal structure
a b c (Å): 17.4745 4.2161 10.8978
angles (deg): 90.00 112.34 90.00
Space group C2/m (No. 12)
Unique sites:
Er: 0.0000 0.0000 0.0000
Pu: 0.1763 0.5000 0.3502
I: 0.0287 0.0000 0.2926
I: 0.1329 0.5000 0.0322
I: 0.1877 0.5000 0.6455

---

3.
NbCr3Cu2S8: theoretical PXRD pattern (Cu Kα X-rays), based on a GGA-PBE-relaxed structure.
Kinematic intensities with the Lorentz-polarization factor, no thermal factor.

The 8 most intense peaks (2θ from 5° to 70°), low angle first:
- 6.06°, intensity 18, (0 0 1)
- 12.14°, intensity 17, (0 0 2)
- 14.32°, intensity 100, (1 0 2)
- 35.48°, intensity 19, (3 1 -1)
- 37.03°, intensity 24, (3 1 -2)
- 37.24°, intensity 11, (3 1 2)
- 43.97°, intensity 11, (2 1 5)
- 54.59°, intensity 11, (0 2 0)

Crystal structure
a b c (Å): 11.9211 3.3621 14.5845
angles (deg): 90.00 90.76 90.00
Space group P2_1/m (No. 11)
Unique sites:
Nb: 0.1957 0.2500 0.1353
Cr: 0.1231 0.2500 0.5388
Cr: 0.3407 0.7500 0.6201
Cr: 0.3931 0.7500 0.0505
Cu: 0.0146 0.2500 0.2561
Cu: 0.4173 0.2500 0.4722
S: 0.0011 0.7500 0.5940
S: 0.0387 0.7500 0.1497
S: 0.2276 0.2500 0.6800
S: 0.2524 0.7500 0.4798
S: 0.2595 0.2500 0.9880
S: 0.3195 0.7500 0.2046
S: 0.4804 0.7500 0.9067
S: 0.4856 0.2500 0.6221

---

4.
K3Er3ZrTe8: theoretical PXRD pattern (Cu Kα X-rays), based on a GGA-PBE-relaxed structure.
Kinematic intensities with the Lorentz-polarization factor, no thermal factor.

The 8 most intense peaks (2θ from 5° to 70°), low angle first:
- 10.49°, intensity 64, (0 0 3)
- 27.50°, intensity 100, (0 2 4)
- 34.34°, intensity 25, (0 2 7)
- 37.07°, intensity 34, (2 0 8)
- 41.40°, intensity 36, (2 2 0)
- 42.85°, intensity 18, (0 0 12)
- 46.20°, intensity 17, (2 0 11)
- 50.43°, intensity 18, (4 0 4)

Crystal structure
a b c (Å): 8.7229 8.7229 25.3062
angles (deg): 90.00 90.00 120.00
Space group R-3m (No. 166, hexagonal axes)
Unique sites:
K: 0.0000 0.5000 0.0000
Er: 0.0000 0.5000 0.5000
Zr: 0.0000 0.0000 0.5000
Te: 0.0000 0.0000 0.2358
Te: 0.0102 0.5051 0.2337

---

5.
SrGaHg2: theoretical PXRD pattern (Cu Kα X-rays), based on a GGA-PBE-relaxed structure.
Kinematic intensities with the Lorentz-polarization factor, no thermal factor.

The 8 most intense peaks (2θ from 5° to 70°), low angle first:
- 26.35°, intensity 62, (1 1 2)
- 31.04°, intensity 100, (1 5 0)
- 33.36°, intensity 61, (1 1 3)
- 34.99°, intensity 43, (0 6 2)
- 37.45°, intensity 53, (2 0 0)
- 40.68°, intensity 23, (0 6 3)
- 43.92°, intensity 29, (1 3 4)
- 52.18°, intensity 28, (2 6 2)

Crystal structure
a b c (Å): 4.8032 18.0028 9.8785
angles (deg): 90.00 90.00 90.00
Space group Cmcm (No. 63)
Unique sites:
Sr: 0.0000 0.0000 0.0000
Sr: 0.0000 0.2071 0.2500
Ga: 0.0000 0.3510 0.5187
Hg: 0.0000 0.1886 0.5944
Hg: 0.0000 0.4076 0.2500
Hg: 0.0000 0.4330 0.7500

---

6.
La4Nd3Pu: theoretical PXRD pattern (Cu Kα X-rays), based on a GGA-PBE-relaxed structure.
Kinematic intensities with the Lorentz-polarization factor, no thermal factor.

The 8 most intense peaks (2θ from 5° to 70°), low angle first:
- 25.85°, intensity 21, (1 0 1)
- 29.40°, intensity 71, (1 1 2)
- 30.28°, intensity 57, (0 4 0)
- 30.92°, intensity 100, (0 2 4)
- 35.72°, intensity 38, (1 2 3)
- 36.58°, intensity 40, (1 3 2)
- 54.19°, intensity 21, (0 6 4)
- 61.00°, intensity 29, (2 2 4)

Crystal structure
a b c (Å): 3.5697 11.8076 13.2682
angles (deg): 90.00 90.00 90.00
Space group Immm (No. 71)
Unique sites:
La: 0.0000 0.2469 0.1291
Nd: 0.0000 0.0000 0.5000
Nd: 0.0000 0.5000 0.2710
Pu: 0.0000 0.0000 0.0000

---

7.
LiCeGe2Pd4: theoretical PXRD pattern (Cu Kα X-rays), based on a GGA-PBE-relaxed structure.
Kinematic intensities with the Lorentz-polarization factor, no thermal factor.

The 8 most intense peaks (2θ from 5° to 70°), low angle first:
- 24.13°, intensity 11, (1 0 1)
- 29.74°, intensity 44, (0 1 5)
- 34.52°, intensity 37, (1 0 7)
- 37.23°, intensity 71, (0 1 8)
- 41.98°, intensity 100, (1 1 0)
- 46.30°, intensity 20, (0 1 11)
- 55.44°, intensity 9, (0 2 7)
- 57.35°, intensity 20, (2 0 8)

Crystal structure
a b c (Å): 4.3044 4.3044 25.3602
angles (deg): 90.00 90.00 120.00
Space group R-3m (No. 166, hexagonal axes)
Unique sites:
Li: 0.0000 0.0000 0.0000
Ce: 0.0000 0.0000 0.5000
Ge: 0.0000 0.0000 0.2621
Pd: 0.0000 0.0000 0.0987
Pd: 0.0000 0.0000 0.3664

---

8.
Ce6RuRh5: theoretical PXRD pattern (Cu Kα X-rays), based on a GGA-PBE-relaxed structure.
Kinematic intensities with the Lorentz-polarization factor, no thermal factor.

The 6 most intense peaks (2θ from 5° to 70°), low angle first:
- 27.29°, intensity 4, (1 3 -1)
- 31.62°, intensity 100, (1 3 1)
- 45.32°, intensity 73, (2 0 2)
- 53.71°, intensity 2, (0 6 2)
- 56.31°, intensity 25, (0 0 4)
- 66.03°, intensity 12, (4 0 -4)

Crystal structure
a b c (Å): 6.9340 11.9984 6.9319
angles (deg): 90.00 109.43 90.00
Space group C2/m (No. 12)
Unique sites:
Ce: 0.2453 0.0000 0.2504
Ce: 0.2464 0.1643 0.7468
Ru: 0.0000 0.0000 0.5000
Rh: 0.0000 0.1708 0.0000
Rh: 0.0000 0.3342 0.5000
Rh: 0.0000 0.5000 0.0000

---

9.
TbPr2Dy4: theoretical PXRD pattern (Cu Kα X-rays), based on a GGA-PBE-relaxed structure.
Kinematic intensities with the Lorentz-polarization factor, no thermal factor.

The 8 most intense peaks (2θ from 5° to 70°), low angle first:
- 28.85°, intensity 38, (1 0 1)
- 30.78°, intensity 49, (0 0 7)
- 31.47°, intensity 100, (1 0 3)
- 33.61°, intensity 82, (0 1 4)
- 39.17°, intensity 18, (0 1 6)
- 50.48°, intensity 38, (1 1 0)
- 53.75°, intensity 22, (1 0 10)
- 60.30°, intensity 44, (1 1 7)

Crystal structure
a b c (Å): 3.6160 3.6160 20.3323
angles (deg): 90.00 90.00 120.00
Space group P3m1 (No. 156)
Unique sites:
Tb: 0.0000 0.0000 0.0000
Pr: 0.0000 0.0000 0.4274
Pr: 0.0000 0.0000 0.7161
Dy: 0.3333 0.6667 0.2803
Dy: 0.3333 0.6667 0.5725
Dy: 0.6667 0.3333 0.1412
Dy: 0.6667 0.3333 0.8605